The following is a calculated XRD peak list of Cs2RbNi2F7. It was derived from the GGA+U geometry in Alexandria, using Cu Kα (λ = 1.5418 Å).
Neutral-atom scattering factors, no anomalous dispersion.

```
Cs2RbNi2F7
1.0
-2.104 2.104 11.553
2.104 -2.104 11.553
2.104 2.104 -11.553
Cs Rb Ni F
2 1 2 7
Direct
0.184 0.184 0.000 Cs
0.816 0.816 0.000 Cs
0.000 0.000 0.000 Rb
0.411 0.411 0.000 Ni
0.589 0.589 0.000 Ni
0.089 0.589 0.500 F
0.324 0.324 0.000 F
0.411 0.911 0.500 F
0.500 0.500 0.000 F
0.589 0.089 0.500 F
0.676 0.676 0.000 F
0.911 0.411 0.500 F
```

Peak list (10 most intense, 10° ≤ 2θ ≤ 90°, by angle)
- 3.692 Å, 24.10°, rel. 16
- 3.111 Å, 28.69°, rel. 100
- 2.975 Å, 30.04°, rel. 62
- 2.354 Å, 38.23°, rel. 27
- 2.311 Å, 38.98°, rel. 12
- 2.104 Å, 43.00°, rel. 40
- 1.826 Å, 49.95°, rel. 16
- 1.743 Å, 52.51°, rel. 37
- 1.556 Å, 59.42°, rel. 13
- 1.487 Å, 62.43°, rel. 12